Starting from a DFT-relaxed cell (PBE, Alexandria), the powder diffractogram of Tl3CdSb2 was simulated for copper Kα.
Lines closer than 0.1° are merged.

Principal peaks in the range 2θ = 10–90°, low angle first:
2theta  I_rel
27.74  63
27.97  62
28.95  74
34.14  85
34.33  60
36.24  100
50.64  35
64.09  27

Cell and atoms:
Cell: 9.3093 9.3093 9.3093 Å, 135.53 64.36 135.98°
Fractional coordinates of all 12 atoms:
Tl 0.1750 0.2458 0.4209
Tl 0.2500 0.2500 0.0000
Tl 0.3250 0.7458 0.0708
Tl 0.6750 0.2542 0.9292
Tl 0.7500 0.7500 0.0000
Tl 0.8250 0.7542 0.5791
Cd 0.2500 0.7500 0.5000
Cd 0.7500 0.2500 0.5000
Sb 0.1181 0.7244 0.8424
Sb 0.3819 0.2244 0.6063
Sb 0.6181 0.7756 0.3937
Sb 0.8819 0.2756 0.1576

Starting from a DFT-relaxed cell (PBE, Alexandria), the powder diffractogram of Tl4CdSb was simulated for copper Kα.
Lines closer than 0.1° are merged.

Principal peaks in the range 2θ = 10–90°, low angle first:
2theta  I_rel
26.07  100
33.27  43
33.37  90
35.67  65
37.01  26
55.01  31
57.60  29
58.72  24

Cell and atoms:
Cell: 8.3245 8.3245 8.3245 Å, 122.88 122.88 85.08°
Fractional coordinates of all 12 atoms:
Tl 0.0115 0.5115 0.7968
Tl 0.2147 0.0115 0.5000
Tl 0.2853 0.7853 0.7968
Tl 0.4885 0.2853 0.5000
Tl 0.5115 0.7147 0.5000
Tl 0.7147 0.2147 0.2032
Tl 0.7853 0.9885 0.5000
Tl 0.9885 0.4885 0.2032
Cd 0.0000 0.0000 0.0000
Cd 0.5000 0.5000 0.0000
Sb 0.2500 0.2500 0.0000
Sb 0.7500 0.7500 0.0000

Starting from a DFT-relaxed cell (PBE, Alexandria), the powder diffractogram of ZnCd2Sb was simulated for copper Kα.
Lines closer than 0.1° are merged.

Principal peaks in the range 2θ = 10–90°, low angle first:
2theta  I_rel
34.59  100
35.31  24
41.80  13
42.99  14
55.84  11
56.80  12
62.92  17
73.36  11

Cell and atoms:
Cell: 4.2080 5.0834 8.6445 Å, 90.00 90.00 90.00°
Fractional coordinates of all 8 atoms:
Zn 0.0000 0.0000 0.0000
Zn 0.5000 0.5000 0.5000
Cd 0.0000 0.0000 0.4971
Cd 0.0000 0.5000 0.7330
Cd 0.5000 0.0000 0.2330
Cd 0.5000 0.5000 0.9971
Sb 0.0000 0.5000 0.2700
Sb 0.5000 0.0000 0.7700

Starting from a DFT-relaxed cell (PBE, Alexandria), the powder diffractogram of ZrCdSb was simulated for copper Kα.
Lines closer than 0.1° are merged.

Principal peaks in the range 2θ = 10–90°, low angle first:
2theta  I_rel
32.26  59
32.45  100
37.59  85
43.78  52
55.41  49
64.39  20
73.16  21
76.32  20

Cell and atoms:
Cell: 4.1360 4.1360 8.3251 Å, 90.00 90.00 90.00°
Fractional coordinates of all 6 atoms:
Zr 0.2500 0.2500 0.1644
Zr 0.7500 0.7500 0.8356
Cd 0.2500 0.7500 0.5000
Cd 0.7500 0.2500 0.5000
Sb 0.2500 0.2500 0.8169
Sb 0.7500 0.7500 0.1831

Starting from a DFT-relaxed cell (PBE, Alexandria), the powder diffractogram of ScCd22 was simulated for copper Kα.
Lines closer than 0.1° are merged.

Principal peaks in the range 2θ = 10–90°, low angle first:
2theta  I_rel
32.93  75
35.27  39
36.62  77
37.05  100
38.77  36
40.01  42
59.71  29
65.64  56

Cell and atoms:
Cell: 11.3795 11.3795 11.3795 Å, 60.00 60.00 60.00°
Fractional coordinates of all 46 atoms:
Sc 0.1250 0.1250 0.1250
Sc 0.8750 0.8750 0.8750
Cd 0.0000 0.0000 0.0000
Cd 0.0000 0.0000 0.5000
Cd 0.0000 0.5000 0.0000
Cd 0.0000 0.5000 0.5000
Cd 0.0583 0.3174 0.3174
Cd 0.0583 0.3174 0.8070
Cd 0.0583 0.8070 0.3174
Cd 0.1930 0.6826 0.6826
Cd 0.1930 0.6826 0.9417
Cd 0.1930 0.9417 0.6826
Cd 0.2348 0.2348 0.5152
Cd 0.2348 0.5152 0.2348
Cd 0.2348 0.5152 0.5152
Cd 0.3174 0.0583 0.3174
Cd 0.3174 0.0583 0.8070
Cd 0.3174 0.3174 0.0583
Cd 0.3174 0.3174 0.8070
Cd 0.3174 0.8070 0.0583
Cd 0.3174 0.8070 0.3174
Cd 0.4848 0.4848 0.7652
Cd 0.4848 0.7652 0.4848
Cd 0.4848 0.7652 0.7652
Cd 0.5000 0.0000 0.0000
Cd 0.5000 0.0000 0.5000
Cd 0.5000 0.5000 0.0000
Cd 0.5000 0.5000 0.5000
Cd 0.5152 0.2348 0.2348
Cd 0.5152 0.2348 0.5152
Cd 0.5152 0.5152 0.2348
Cd 0.6826 0.1930 0.6826
Cd 0.6826 0.1930 0.9417
Cd 0.6826 0.6826 0.1930
Cd 0.6826 0.6826 0.9417
Cd 0.6826 0.9417 0.1930
Cd 0.6826 0.9417 0.6826
Cd 0.7652 0.4848 0.4848
Cd 0.7652 0.4848 0.7652
Cd 0.7652 0.7652 0.4848
Cd 0.8070 0.0583 0.3174
Cd 0.8070 0.3174 0.0583
Cd 0.8070 0.3174 0.3174
Cd 0.9417 0.1930 0.6826
Cd 0.9417 0.6826 0.1930
Cd 0.9417 0.6826 0.6826

Starting from a DFT-relaxed cell (PBE, Alexandria), the powder diffractogram of Sc3Cd5 was simulated for copper Kα.
Lines closer than 0.1° are merged.

Principal peaks in the range 2θ = 10–90°, low angle first:
2theta  I_rel
25.74  10
35.86  100
36.73  47
50.28  9
52.86  8
63.86  17
65.58  31
76.00  10

Cell and atoms:
Cell: 8.0424 8.0396 4.8941 Å, 72.31 72.25 35.43°
Fractional coordinates of all 8 atoms:
Sc 0.0000 0.0000 0.0000
Sc 0.2566 0.2566 0.7434
Sc 0.7434 0.7434 0.2566
Cd 0.1236 0.1236 0.3764
Cd 0.3764 0.3764 0.1236
Cd 0.5000 0.5000 0.5000
Cd 0.6236 0.6236 0.8764
Cd 0.8764 0.8764 0.6236